Starting from a structure optimized by DFT (GGA+U), the powder diffractogram of LiInCo2O4 was simulated for Cu Kα X-rays.
Intensities are scaled so that the largest is 1000.

Atomic structure:
```
LiInCo2O4
1.0
0.000 4.397 3.091
3.080 0.000 3.091
3.080 4.397 0.000
Li In Co O
1 1 2 4
Cartesian
0.000 0.000 0.000
3.080 4.397 3.074
1.540 2.199 1.545
4.621 6.596 4.636
3.080 2.219 3.091
4.618 4.397 4.626
3.080 6.575 3.091
1.543 4.397 4.626
```

Principal peaks in the range 5 to 70 degrees two-theta, by intensity:
two_theta, I_rel
22.75, 1000
35.54, 817
41.38, 783
59.71, 472
41.05, 401
36.94, 276
47.67, 135
47.80, 134
59.85, 117
60.07, 116